Record 1
The following is a computed PXRD pattern of KZnRe. It was derived from the GGA-PBE geometry in OQMD, using λ = 1.5418 Å (Cu Kα).

Crystal structure
```
data_KZnRe
_chemical_formula_sum 'K4 Zn4 Re4'
_space_group_name_H-M_alt 'F -4 3 m'
_space_group_IT_number 216
_space_group_name_Hall 'F -4 2 3'
_cell_length_a 6.685
_cell_length_b 6.685
_cell_length_c 6.685
_cell_angle_alpha 90.00
_cell_angle_beta 90.00
_cell_angle_gamma 90.00
loop_
_atom_site_label
_atom_site_type_symbol
_atom_site_fract_x
_atom_site_fract_y
_atom_site_fract_z
K1 K 0.000 0.000 0.000
Zn1 Zn 0.000 0.000 0.500
Re1 Re 0.250 0.250 0.250
```

The 10 most intense peaks (2θ = 10–90°), low angle first:
2θ/deg  I/Imax  (hkl)
23.05  96  1 1 1
26.67  7  2 0 0
38.08  100  2 2 0
44.98  50  3 1 1
54.94  17  4 0 0
60.36  21  3 3 1
68.80  34  4 2 2
73.64  16  5 1 1
81.45  11  4 4 0
86.05  16  5 3 1

=====

Record 2
The following is a computed PXRD pattern of K2ScTaS6. It was derived from the GGA-PBE geometry in OQMD, using λ = 1.5418 Å (Cu Kα).

Crystal structure
```
data_K2ScTaS6
_chemical_formula_sum 'K6 Sc3 Ta3 S18'
_space_group_name_H-M_alt 'R 3'
_space_group_IT_number 146
_space_group_name_Hall 'R 3'
_cell_length_a 6.9751
_cell_length_b 6.9751
_cell_length_c 17.2065
_cell_angle_alpha 90.00
_cell_angle_beta 90.00
_cell_angle_gamma 120.00
loop_
_atom_site_label
_atom_site_type_symbol
_atom_site_fract_x
_atom_site_fract_y
_atom_site_fract_z
K1 K 0.0000 0.0000 0.0000
K2 K 0.0000 0.0000 0.4986
Sc1 Sc 0.0000 0.0000 0.7547
Ta1 Ta 0.0000 0.0000 0.2567
S1 S 0.0024 0.4971 0.9978
S2 S 0.1696 0.8253 0.8347
```

The 10 most intense peaks (2θ = 10–90°), low angle first:
2θ/deg  I/Imax  (hkl)
15.52  77  1 0 1
17.94  100  0 1 2
25.42  55  1 0 4
25.54  55  1 1 0
30.00  32  2 -1 3
36.34  95  0 2 4
40.73  24  2 -1 6
44.97  36  3 -1 4
52.21  31  2 0 8
52.48  31  2 2 0

=====

Record 3
The following is a computed PXRD pattern of KTaS5. It was derived from the GGA-PBE geometry in OQMD, using λ = 1.5418 Å (Cu Kα).

Crystal structure
```
data_KTaS5
_chemical_formula_sum 'K8 Ta8 S40'
_space_group_name_H-M_alt 'P 1 21/c 1'
_space_group_IT_number 14
_space_group_name_Hall '-P 2ybc'
_cell_length_a 15.264
_cell_length_b 6.471
_cell_length_c 15.750
_cell_angle_alpha 90.00
_cell_angle_beta 120.63
_cell_angle_gamma 90.00
loop_
_atom_site_label
_atom_site_type_symbol
_atom_site_fract_x
_atom_site_fract_y
_atom_site_fract_z
K1 K 0.150 0.146 0.086
K2 K 0.348 0.642 0.933
Ta1 Ta 0.036 0.051 0.744
Ta2 Ta 0.465 0.582 0.709
S1 S 0.044 0.665 0.378
S2 S 0.052 0.609 0.107
S3 S 0.110 0.714 0.734
S4 S 0.127 0.176 0.374
S5 S 0.207 0.201 0.810
S6 S 0.295 0.739 0.605
S7 S 0.374 0.646 0.249
S8 S 0.388 0.245 0.626
S9 S 0.448 0.083 0.056
S10 S 0.457 0.134 0.336
```

The 10 most intense peaks (2θ = 10–90°), low angle first:
2θ/deg  I/Imax  (hkl)
13.11  100  0 0 2
13.48  50  2 0 0
22.05  7  1 1 -3
22.58  13  2 0 -4
28.09  10  4 1 -1
30.81  7  2 2 0
32.70  11  2 2 -3
34.13  21  4 1 1
40.72  11  6 1 -1
42.66  8  3 1 -7

=====

Record 4
The following is a computed PXRD pattern of K3TaTe2S2. It was derived from the GGA-PBE geometry in OQMD, using λ = 1.5418 Å (Cu Kα).

Crystal structure
```
data_K3TaTe2S2
_chemical_formula_sum 'K12 Ta4 Te8 S8'
_space_group_name_H-M_alt 'F m m 2'
_space_group_IT_number 42
_space_group_name_Hall 'F 2 -2'
_cell_length_a 10.986
_cell_length_b 12.231
_cell_length_c 8.503
_cell_angle_alpha 90.00
_cell_angle_beta 90.00
_cell_angle_gamma 90.00
loop_
_atom_site_label
_atom_site_type_symbol
_atom_site_fract_x
_atom_site_fract_y
_atom_site_fract_z
K1 K 0.000 0.000 0.000
K2 K 0.250 0.250 0.398
Ta1 Ta 0.000 0.000 0.473
Te1 Te 0.000 0.181 0.649
S1 S 0.168 0.000 0.318
```

The 10 most intense peaks (2θ = 10–90°), low angle first:
2θ/deg  I/Imax  (hkl)
15.04  100  1 1 1
16.14  58  2 0 0
25.54  66  0 2 2
26.51  30  2 0 2
27.50  23  3 1 1
30.34  70  2 2 2
32.60  24  4 0 0
39.58  25  1 3 3
46.22  26  3 3 3
56.79  22  6 2 2

=====

Record 5
The following is a computed PXRD pattern of K2Tc3S6. It was derived from the GGA-PBE geometry in OQMD, using λ = 1.5418 Å (Cu Kα).

Crystal structure
```
data_K2Tc3S6
_chemical_formula_sum 'K16 Tc24 S48'
_space_group_name_H-M_alt 'C 1 2/c 1'
_space_group_IT_number 15
_space_group_name_Hall '-C 2yc'
_cell_length_a 16.593
_cell_length_b 9.785
_cell_length_c 11.975
_cell_angle_alpha 90.00
_cell_angle_beta 91.46
_cell_angle_gamma 90.00
loop_
_atom_site_label
_atom_site_type_symbol
_atom_site_fract_x
_atom_site_fract_y
_atom_site_fract_z
K1 K 0.000 0.100 0.250
K2 K 0.000 0.289 0.750
K3 K 0.117 0.261 0.021
Tc1 Tc 0.156 0.347 0.474
Tc2 Tc 0.207 0.104 0.417
Tc3 Tc 0.207 0.178 0.630
S1 S 0.029 0.471 0.426
S2 S 0.084 0.139 0.520
S3 S 0.148 0.088 0.805
S4 S 0.164 0.274 0.283
S5 S 0.165 0.409 0.667
S6 S 0.243 0.462 0.930
```

The 10 most intense peaks (2θ = 10–90°), low angle first:
2θ/deg  I/Imax  (hkl)
10.67  94  2 0 0
12.77  85  1 1 -1
12.92  100  1 1 1
14.80  23  0 0 2
18.08  14  2 0 -2
37.51  13  4 0 4
42.54  11  3 1 5
47.16  19  4 2 -5
47.40  16  7 3 0
49.20  16  5 3 -4

=====

Record 6
The following is a computed PXRD pattern of K2Zn3S4. It was derived from the GGA-PBE geometry in OQMD, using λ = 1.5418 Å (Cu Kα).

Crystal structure
```
data_K2Zn3S4
_chemical_formula_sum 'K16 Zn24 S32'
_space_group_name_H-M_alt 'F d d d'
_space_group_IT_number 70
_cell_length_a 5.786
_cell_length_b 11.086
_cell_length_c 28.050
_cell_angle_alpha 90.00
_cell_angle_beta 90.00
_cell_angle_gamma 90.00
loop_
_space_group_symop_operation_xyz
'x,y,z'
'-x,-y,-z'
'-x+1/4,-y+1/4,z'
'x+1/4,y+1/4,-z'
'x,-y+1/4,-z+1/4'
'-x,y+1/4,z+1/4'
'-x+1/4,y,-z+1/4'
'x+1/4,-y,z+1/4'
'x,y+1/2,z+1/2'
'-x,-y+1/2,-z+1/2'
'-x+1/4,-y+3/4,z+1/2'
'x+1/4,y+3/4,-z+1/2'
'x,-y+3/4,-z+3/4'
'-x,y+3/4,z+3/4'
'-x+1/4,y+1/2,-z+3/4'
'x+1/4,-y+1/2,z+3/4'
'x+1/2,y,z+1/2'
'-x+1/2,-y,-z+1/2'
'-x+3/4,-y+1/4,z+1/2'
'x+3/4,y+1/4,-z+1/2'
'x+1/2,-y+1/4,-z+3/4'
'-x+1/2,y+1/4,z+3/4'
'-x+3/4,y,-z+3/4'
'x+3/4,-y,z+3/4'
'x+1/2,y+1/2,z'
'-x+1/2,-y+1/2,-z'
'-x+3/4,-y+3/4,z'
'x+3/4,y+3/4,-z'
'x+1/2,-y+3/4,-z+1/4'
'-x+1/2,y+3/4,z+1/4'
'-x+3/4,y+1/2,-z+1/4'
'x+3/4,-y+1/2,z+1/4'
loop_
_atom_site_label
_atom_site_type_symbol
_atom_site_fract_x
_atom_site_fract_y
_atom_site_fract_z
K1 K 0.125 0.125 0.034
Zn1 Zn 0.125 0.125 0.376
Zn2 Zn 0.125 0.125 0.625
S1 S 0.118 0.284 0.566
```

The 10 most intense peaks (2θ = 10–90°), low angle first:
2θ/deg  I/Imax  (hkl)
12.62  100  0 0 4
19.74  36  1 1 3
23.50  29  1 1 5
32.89  27  1 3 5
34.99  35  2 2 0
36.53  56  2 0 6
37.33  25  2 2 4
41.53  31  0 4 8
43.73  41  2 2 8
53.01  30  2 2 12